No. 1
This entry pairs a crystal structure of PrGaPd2 with its computed X-ray diffraction stick pattern. Radiation: Cu Ka. Structure: a PBE-relaxed structure.
Peak positions follow from Bragg's law for the DFT cell and can differ from measured ones.

Cell and atoms:
abc: 4.4740 4.4740 9.4316
angles: 90.00 90.00 120.00
Fractional coordinates of all 8 atoms:
Pr1 0.0000 0.0000 0.0000
Pr2 0.3333 0.6667 0.5000
Ga1 0.6667 0.3333 0.2509
Ga2 0.6667 0.3333 0.7491
Pd1 0.0000 0.0000 0.3262
Pd2 0.0000 0.0000 0.6738
Pd3 0.3333 0.6667 0.1763
Pd4 0.3333 0.6667 0.8237

Top 10 peaks for 2θ = 15–90°, by angle:
| d (Å) | Rel. int. |
| --- | --- |
| 3.875 | 20.3 |
| 2.994 | 12.0 |
| 2.441 | 100.0 |
| 2.237 | 76.2 |
| 1.649 | 29.8 |
| 1.457 | 12.5 |
| 1.327 | 28.4 |
| 1.292 | 12.7 |
| 1.286 | 10.2 |
| 1.118 | 8.2 |

No. 2
This entry pairs a crystal structure of PmHo3Tc with its computed X-ray diffraction stick pattern. Radiation: Cu Ka. Structure: a PBE-relaxed structure.
Peak positions follow from Bragg's law for the DFT cell and can differ from measured ones.

Cell and atoms:
abc: 8.6308 3.7762 8.7175
angles: 90.00 101.97 90.00
Fractional coordinates of all 10 atoms:
Pm1 0.1697 0.2500 0.0123
Pm2 0.8303 0.7500 0.9877
Ho1 0.0261 0.7500 0.6637
Ho2 0.3421 0.7500 0.3888
Ho3 0.4225 0.7500 0.8169
Ho4 0.5775 0.2500 0.1831
Ho5 0.6579 0.2500 0.6112
Ho6 0.9739 0.2500 0.3363
Tc1 0.2630 0.2500 0.5987
Tc2 0.7370 0.7500 0.4013

Top 10 peaks for 2θ = 15–90°, by angle:
| d (Å) | Rel. int. |
| --- | --- |
| 2.881 | 29.2 |
| 2.855 | 48.3 |
| 2.827 | 23.7 |
| 2.815 | 45.8 |
| 2.799 | 100.0 |
| 2.730 | 49.9 |
| 2.570 | 52.9 |
| 2.514 | 26.3 |
| 2.257 | 26.5 |
| 1.888 | 30.9 |

No. 3
This entry pairs a crystal structure of HgH2O2 with its computed X-ray diffraction stick pattern. Radiation: Cu Ka. Structure: a PBE-relaxed structure.
Peak positions follow from Bragg's law for the DFT cell and can differ from measured ones.

Cell and atoms:
abc: 5.2976 5.7674 3.4917
angles: 90.00 90.00 90.00
Fractional coordinates of all 10 atoms:
Hg1 0.0000 0.0000 0.0000
Hg2 0.5000 0.5000 0.5000
H1 0.0325 0.3468 0.5000
H2 0.4675 0.8468 0.0000
H3 0.5325 0.1532 0.0000
H4 0.9675 0.6532 0.5000
O1 0.1233 0.7447 0.5000
O2 0.3767 0.2447 0.0000
O3 0.6233 0.7553 0.0000
O4 0.8767 0.2553 0.5000

Top 10 peaks for 2θ = 15–90°, by angle:
| d (Å) | Rel. int. |
| --- | --- |
| 3.901 | 100.0 |
| 2.987 | 54.9 |
| 2.915 | 37.0 |
| 2.884 | 16.4 |
| 2.649 | 20.1 |
| 2.050 | 46.5 |
| 1.982 | 34.4 |
| 1.951 | 16.0 |
| 1.807 | 13.3 |
| 1.594 | 16.8 |

No. 4
This entry pairs a crystal structure of TaCo12 with its computed X-ray diffraction stick pattern. Radiation: Cu Ka. Structure: a PBE-relaxed structure.
Peak positions follow from Bragg's law for the DFT cell and can differ from measured ones.

Cell and atoms:
abc: 8.6664 8.6664 8.6664
angles: 30.78 30.78 30.78
Fractional coordinates of all 13 atoms:
Ta1 0.0000 0.0000 0.0000
Co1 0.0884 0.0884 0.5758
Co2 0.0884 0.5758 0.0884
Co3 0.1638 0.1638 0.1638
Co4 0.3528 0.3528 0.3528
Co5 0.4242 0.9116 0.9116
Co6 0.4544 0.4544 0.4544
Co7 0.5456 0.5456 0.5456
Co8 0.5758 0.0884 0.0884
Co9 0.6472 0.6472 0.6472
Co10 0.8362 0.8362 0.8362
Co11 0.9116 0.4242 0.9116
Co12 0.9116 0.9116 0.4242

Top 10 peaks for 2θ = 15–90°, by angle:
| d (Å) | Rel. int. |
| --- | --- |
| 3.932 | 27.6 |
| 2.300 | 55.7 |
| 2.062 | 23.2 |
| 2.009 | 100.0 |
| 1.966 | 26.2 |
| 1.959 | 53.7 |
| 1.848 | 46.4 |
| 1.735 | 30.8 |
| 1.251 | 24.3 |
| 1.150 | 24.7 |

No. 5
This entry pairs a crystal structure of CsIrI6 with its computed X-ray diffraction stick pattern. Radiation: Cu Ka. Structure: a PBE-relaxed structure.
Peak positions follow from Bragg's law for the DFT cell and can differ from measured ones.

Cell and atoms:
abc: 7.0935 7.0935 14.9369
angles: 99.18 99.18 59.97
Fractional coordinates of all 16 atoms:
Cs1 0.0756 0.9244 0.7500
Cs2 0.9244 0.0756 0.2500
Ir1 0.0000 0.5000 0.0000
Ir2 0.5000 0.0000 0.5000
I1 0.0762 0.2055 0.5251
I2 0.2002 0.3951 0.8465
I3 0.2055 0.0762 0.0251
I4 0.3374 0.5303 0.1040
I5 0.3951 0.2002 0.3465
I6 0.4697 0.6626 0.3960
I7 0.5303 0.3374 0.6040
I8 0.6049 0.7998 0.6535
I9 0.6626 0.4697 0.8960
I10 0.7945 0.9238 0.9749
I11 0.7998 0.6049 0.1535
I12 0.9238 0.7945 0.4749

Top 10 peaks for 2θ = 15–90°, by angle:
| d (Å) | Rel. int. |
| --- | --- |
| 5.841 | 37.1 |
| 5.467 | 34.7 |
| 3.285 | 100.0 |
| 3.051 | 90.3 |
| 2.993 | 32.8 |
| 2.980 | 71.6 |
| 2.451 | 31.4 |
| 2.287 | 24.2 |
| 2.068 | 47.6 |
| 1.699 | 24.5 |

No. 6
This entry pairs a crystal structure of Y3B4Pd4C3 with its computed X-ray diffraction stick pattern. Radiation: Cu Ka. Structure: a PBE-relaxed structure.
Peak positions follow from Bragg's law for the DFT cell and can differ from measured ones.

Cell and atoms:
abc: 13.4224 13.4224 13.4224
angles: 163.86 163.86 22.90
Fractional coordinates of all 14 atoms:
Y1 0.0000 0.0000 0.0000
Y2 0.2969 0.2969 0.0000
Y3 0.7031 0.7031 0.0000
B1 0.1500 0.1500 0.0000
B2 0.4438 0.4438 0.0000
B3 0.5562 0.5562 0.0000
B4 0.8500 0.8500 0.0000
Pd1 0.1014 0.6014 0.5000
Pd2 0.3986 0.8986 0.5000
Pd3 0.6014 0.1014 0.5000
Pd4 0.8986 0.3986 0.5000
C1 0.2061 0.2061 0.0000
C2 0.5000 0.5000 0.0000
C3 0.7939 0.7939 0.0000

Top 10 peaks for 2θ = 15–90°, by angle:
| d (Å) | Rel. int. |
| --- | --- |
| 3.462 | 27.9 |
| 2.661 | 29.3 |
| 2.631 | 52.5 |
| 2.470 | 100.0 |
| 2.277 | 64.8 |
| 1.884 | 45.5 |
| 1.536 | 39.0 |
| 1.532 | 38.5 |
| 1.189 | 16.5 |
| 1.173 | 17.8 |

No. 7
This entry pairs a crystal structure of Cu7Ag3 with its computed X-ray diffraction stick pattern. Radiation: Cu Ka. Structure: a PBE-relaxed structure.
Peak positions follow from Bragg's law for the DFT cell and can differ from measured ones.

Cell and atoms:
abc: 5.8757 5.8757 8.9567
angles: 101.68 101.68 27.01
Fractional coordinates of all 10 atoms:
Cu1 0.0000 0.0000 0.0000
Cu2 0.0998 0.0998 0.3030
Cu3 0.2064 0.2064 0.5963
Cu4 0.4093 0.4093 0.2005
Cu5 0.5907 0.5907 0.7995
Cu6 0.7936 0.7936 0.4037
Cu7 0.9002 0.9002 0.6970
Ag1 0.2997 0.2997 0.8913
Ag2 0.5000 0.5000 0.5000
Ag3 0.7003 0.7003 0.1087

Top 10 peaks for 2θ = 15–90°, by angle:
| d (Å) | Rel. int. |
| --- | --- |
| 2.208 | 100.0 |
| 2.201 | 48.9 |
| 2.161 | 46.4 |
| 1.922 | 64.2 |
| 1.859 | 28.0 |
| 1.346 | 26.7 |
| 1.327 | 17.0 |
| 1.164 | 11.1 |
| 1.158 | 11.0 |
| 1.155 | 10.7 |

No. 8
This entry pairs a crystal structure of Nd2Nb2Cl2O7 with its computed X-ray diffraction stick pattern. Radiation: Cu Ka. Structure: a PBE-relaxed structure.
Peak positions follow from Bragg's law for the DFT cell and can differ from measured ones.

Cell and atoms:
abc: 7.8987 7.8987 6.9681
angles: 113.19 113.19 28.94
Fractional coordinates of all 13 atoms:
Nd1 0.1923 0.1923 0.1662
Nd2 0.8077 0.8077 0.8338
Nb1 0.4659 0.4659 0.2034
Nb2 0.5341 0.5341 0.7966
Cl1 0.1778 0.1778 0.5653
Cl2 0.8222 0.8222 0.4347
O1 0.0453 0.0453 0.8395
O2 0.3234 0.3234 0.0664
O3 0.4169 0.4169 0.8440
O4 0.5000 0.5000 0.5000
O5 0.5831 0.5831 0.1560
O6 0.6766 0.6766 0.9336
O7 0.9547 0.9547 0.1605

Top 10 peaks for 2θ = 15–90°, by angle:
| d (Å) | Rel. int. |
| --- | --- |
| 3.779 | 42.4 |
| 3.433 | 30.7 |
| 3.114 | 39.0 |
| 3.050 | 66.3 |
| 3.011 | 100.0 |
| 2.643 | 27.2 |
| 2.584 | 53.7 |
| 2.122 | 26.3 |
| 1.974 | 32.5 |
| 1.870 | 25.5 |